1.
Theoretical X-ray powder pattern of PtO2F6 for Cu Ka, from a GGA-PBE-relaxed structure.
Peak positions follow from Bragg's law for the DFT cell and can differ from measured ones.

Atomic structure:
a b c (Å): 9.263 9.263 9.263
angles (deg): 90.00 90.00 90.00
Space group Ia-3 (No. 206)
Asymmetric unit:
1 Pt 0.250 0.250 0.250 (multiplicity 8)
2 O 0.036 0.036 0.036 (multiplicity 16)
3 F 0.086 0.139 0.308 (multiplicity 48)

Main lines, most intense first (10 to 80 degrees two-theta):
hkl  two_theta  I_rel
2 2 0  27.23  1000
2 0 0  19.16  845
4 2 2  48.12  466
4 0 2  43.70  342
4 4 2  59.91  248
2 2 2  33.51  232
6 0 2  63.52  198
6 2 4  77.04  175

2.
Theoretical X-ray powder pattern of Lu2ScIn3Pd2 for Cu Ka, from a GGA-PBE-relaxed structure.
Peak positions follow from Bragg's law for the DFT cell and can differ from measured ones.

Atomic structure:
a b c (Å): 3.529 13.163 7.550
angles (deg): 90.00 90.00 90.00
Space group Amm2 (No. 38)
Asymmetric unit:
1 Lu 0.000 0.209 0.000 (multiplicity 4)
2 Sc 0.000 0.000 0.628 (multiplicity 2)
3 In 0.500 0.000 0.970 (multiplicity 2)
4 In 0.500 0.115 0.329 (multiplicity 4)
5 Pd 0.500 0.165 0.708 (multiplicity 4)

Main lines, most intense first (10 to 80 degrees two-theta):
hkl  two_theta  I_rel
1 0 2  34.75  1000
0 5 1  36.17  648
1 2 2  37.47  491
0 2 0  13.46  284
2 5 1  64.82  231
0 1 3  36.34  229
1 4 0  37.36  192
1 2 0  28.71  192

3.
Theoretical X-ray powder pattern of Co2GeS4 for Cu Ka, from a GGA-PBE-relaxed structure.
Peak positions follow from Bragg's law for the DFT cell and can differ from measured ones.

Atomic structure:
a b c (Å): 9.747 9.747 9.747
angles (deg): 90.00 90.00 90.00
Space group Fd-3m (No. 227, origin choice 2)
Asymmetric unit:
1 Co 0.000 0.000 0.000 (multiplicity 16)
2 Ge 0.125 0.125 0.625 (multiplicity 8)
3 S 0.017 0.017 0.233 (multiplicity 32)

Main lines, most intense first (10 to 80 degrees two-theta):
hkl  two_theta  I_rel
3 1 1  30.42  1000
4 4 0  53.16  774
5 1 1  48.53  603
2 2 0  25.85  437
4 0 0  36.89  355
5 5 3  74.83  177
1 1 1  15.75  161
4 2 2  45.60  136